(1)
Calculated powder diffraction line list of Tb3DyEr7 for Cu Kα X-rays, from DFT lattice parameters and positions (PBE).
No peak broadening, texture or thermal motion is included.

Peak list (10 most intense, 5 to 70 degrees two-theta, sorted by position)
2θ = 31.98°, I 48; 2θ = 32.26°, I 100; 2θ = 32.45°, I 31; 2θ = 32.78°, I 51; 2θ = 33.36°, I 52; 2θ = 36.42°, I 15; 2θ = 46.80°, I 22; 2θ = 58.18°, I 20; 2θ = 59.17°, I 16; 2θ = 64.36°, I 14

Structure:
Unit cell a=6.873 b=5.464 c=9.866 alpha=90.00 beta=110.31 gamma=90.00
Space group P2/m (No. 10)
Asymmetric unit:
Tb 0.000 0.000 0.000 [1 per cell]
Tb 0.280 0.500 0.499 [2 per cell]
Dy 0.500 0.000 0.000 [1 per cell]
Er 0.000 0.000 0.500 [1 per cell]
Er 0.146 0.500 0.790 [2 per cell]
Er 0.320 0.500 0.140 [2 per cell]
Er 0.416 0.000 0.330 [2 per cell]

(2)
Calculated powder diffraction line list of Tb3SOF5 for Cu Kα X-rays, from DFT lattice parameters and positions (PBE).
No peak broadening, texture or thermal motion is included.

Peak list (10 most intense, 5 to 70 degrees two-theta, sorted by position)
2θ = 18.67°, I 30; 2θ = 26.46°, I 48; 2θ = 28.66°, I 100; 2θ = 28.93°, I 45; 2θ = 30.65°, I 55; 2θ = 32.56°, I 43; 2θ = 37.93°, I 37; 2θ = 46.96°, I 33; 2θ = 51.09°, I 40; 2θ = 58.06°, I 30

Structure:
Unit cell a=9.435 b=3.694 c=9.492 alpha=90.00 beta=119.51 gamma=90.00
Space group Pm (No. 6)
Asymmetric unit:
Tb 0.000 0.000 0.000 [1 per cell]
Tb 0.105 0.500 0.687 [1 per cell]
Tb 0.272 0.500 0.374 [1 per cell]
Tb 0.527 0.000 0.817 [1 per cell]
Tb 0.701 0.000 0.506 [1 per cell]
Tb 0.822 0.500 0.237 [1 per cell]
S 0.077 0.000 0.441 [1 per cell]
S 0.733 0.500 0.770 [1 per cell]
O 0.021 0.500 0.155 [1 per cell]
O 0.841 0.500 0.490 [1 per cell]
F 0.129 0.500 0.940 [1 per cell]
F 0.259 0.000 0.221 [1 per cell]
F 0.283 0.000 0.818 [1 per cell]
F 0.357 0.500 0.669 [1 per cell]
F 0.449 0.000 0.536 [1 per cell]
F 0.517 0.500 0.377 [1 per cell]
F 0.562 0.500 0.982 [1 per cell]
F 0.676 0.000 0.252 [1 per cell]
F 0.782 0.000 0.055 [1 per cell]
F 0.973 0.000 0.728 [1 per cell]

(3)
Calculated powder diffraction line list of AcPrHo4 for Cu Kα X-rays, from DFT lattice parameters and positions (PBE).
No peak broadening, texture or thermal motion is included.

Peak list (10 most intense, 5 to 70 degrees two-theta, sorted by position)
2θ = 24.62°, I 28; 2θ = 26.81°, I 42; 2θ = 30.26°, I 63; 2θ = 30.52°, I 100; 2θ = 30.79°, I 84; 2θ = 31.06°, I 58; 2θ = 31.18°, I 84; 2θ = 37.56°, I 45; 2θ = 38.22°, I 24; 2θ = 59.21°, I 24

Structure:
Unit cell a=12.080 b=9.034 c=9.601 alpha=90.00 beta=125.59 gamma=90.00
Space group C2/m (No. 12)
Asymmetric unit:
Ac 0.185 0.000 0.194 [4 per cell]
Pr 0.087 0.000 0.753 [4 per cell]
Ho 0.000 0.310 0.500 [4 per cell]
Ho 0.102 0.326 0.939 [8 per cell]
Ho 0.207 0.500 0.371 [4 per cell]

(4)
Calculated powder diffraction line list of La2Pr2Tc for Cu Kα X-rays, from DFT lattice parameters and positions (PBE).
No peak broadening, texture or thermal motion is included.

Peak list (10 most intense, 5 to 70 degrees two-theta, sorted by position)
2θ = 26.16°, I 55; 2θ = 26.74°, I 25; 2θ = 32.42°, I 100; 2θ = 35.24°, I 20; 2θ = 36.05°, I 66; 2θ = 42.51°, I 28; 2θ = 45.45°, I 24; 2θ = 51.90°, I 23; 2θ = 54.81°, I 16; 2θ = 62.54°, I 30

Structure:
Unit cell a=4.983 b=4.983 c=26.672 alpha=90.00 beta=90.00 gamma=90.00
Space group I4_1/amd (No. 141, origin choice 2)
Asymmetric unit:
La 0.000 0.250 0.070 [8 per cell]
Pr 0.000 0.250 0.199 [8 per cell]
Tc 0.000 0.250 0.875 [4 per cell]

(5)
Calculated powder diffraction line list of Tc2Ir8Rh for Cu Kα X-rays, from DFT lattice parameters and positions (PBE).
No peak broadening, texture or thermal motion is included.

Peak list (10 most intense, 5 to 70 degrees two-theta, sorted by position)
2θ = 30.69°, I 8; 2θ = 39.05°, I 22; 2θ = 41.60°, I 100; 2θ = 42.28°, I 14; 2θ = 42.82°, I 11; 2θ = 43.61°, I 30; 2θ = 44.31°, I 17; 2θ = 56.51°, I 9; 2θ = 62.36°, I 9; 2θ = 63.92°, I 12

Structure:
Unit cell a=4.151 b=6.512 c=12.265 alpha=90.00 beta=90.00 gamma=90.00
Space group Immm (No. 71)
Asymmetric unit:
Tc 0.000 0.000 0.201 [4 per cell]
Ir 0.000 0.205 0.000 [4 per cell]
Ir 0.000 0.291 0.355 [8 per cell]
Ir 0.000 0.500 0.162 [4 per cell]
Rh 0.000 0.000 0.500 [2 per cell]

(6)
Calculated powder diffraction line list of Ac3Al2Ge3 for Cu Kα X-rays, from DFT lattice parameters and positions (PBE).
No peak broadening, texture or thermal motion is included.

Peak list (10 most intense, 5 to 70 degrees two-theta, sorted by position)
2θ = 21.92°, I 47; 2θ = 24.01°, I 30; 2θ = 26.92°, I 75; 2θ = 30.14°, I 71; 2θ = 30.31°, I 28; 2θ = 30.58°, I 100; 2θ = 32.54°, I 46; 2θ = 40.86°, I 61; 2θ = 44.95°, I 39; 2θ = 53.15°, I 24

Structure:
Unit cell a=4.421 b=11.990 c=16.510 alpha=90.00 beta=90.00 gamma=90.00
Space group Cmcm (No. 63)
Asymmetric unit:
Ac 0.000 0.040 0.250 [4 per cell]
Ac 0.000 0.348 0.091 [8 per cell]
Al 0.000 0.362 0.621 [8 per cell]
Ge 0.000 0.073 0.056 [8 per cell]
Ge 0.000 0.235 0.750 [4 per cell]

(7)
Calculated powder diffraction line list of Hf4MnN5 for Cu Kα X-rays, from DFT lattice parameters and positions (PBE).
No peak broadening, texture or thermal motion is included.

Peak list (10 most intense, 5 to 70 degrees two-theta, sorted by position)
2θ = 17.51°, I 6; 2θ = 23.39°, I 7; 2θ = 24.86°, I 5; 2θ = 34.39°, I 100; 2θ = 39.79°, I 47; 2θ = 40.18°, I 22; 2θ = 57.54°, I 15; 2θ = 57.83°, I 31; 2θ = 68.78°, I 27; 2θ = 69.31°, I 14

Structure:
Unit cell a=7.163 b=7.163 c=4.489 alpha=90.00 beta=90.00 gamma=90.00
Space group I4/m (No. 87)
Asymmetric unit:
Hf 0.106 0.297 0.000 [8 per cell]
Mn 0.000 0.000 0.500 [2 per cell]
N 0.000 0.000 0.000 [2 per cell]
N 0.100 0.307 0.500 [8 per cell]

(8)
Calculated powder diffraction line list of Pm2Cd16Ag for Cu Kα X-rays, from DFT lattice parameters and positions (PBE).
No peak broadening, texture or thermal motion is included.

Peak list (10 most intense, 5 to 70 degrees two-theta, sorted by position)
2θ = 30.85°, I 23; 2θ = 31.53°, I 17; 2θ = 35.81°, I 100; 2θ = 35.96°, I 20; 2θ = 36.40°, I 25; 2θ = 40.21°, I 29; 2θ = 40.34°, I 8; 2θ = 64.28°, I 10; 2θ = 64.55°, I 13; 2θ = 64.68°, I 7

Structure:
Unit cell a=10.0403 b=10.0403 c=14.9845 alpha=90.00 beta=90.00 gamma=120.00
Space group R3m (No. 160, hexagonal axes)
Asymmetric unit:
Pm 0.0000 0.0000 0.0000 [3 per cell]
Pm 0.0000 0.0000 0.3380 [3 per cell]
Cd 0.0000 0.0000 0.5637 [3 per cell]
Cd 0.0359 0.3681 0.3347 [18 per cell]
Cd 0.1721 0.3441 0.1453 [9 per cell]
Cd 0.1831 0.3662 0.5057 [9 per cell]
Cd 0.1870 0.3740 0.8512 [9 per cell]
Ag 0.0000 0.0000 0.7579 [3 per cell]